Record 1
Calculated powder diffraction line list
Compound: RbPd2F5
Radiation: Cu Kα
Structure: a crystal structure in Alexandria, relaxed with GGA-PBE

Peak list (10 most intense, 2θ from 15° to 90°, sorted by position)
15.87°, I = 20; 27.05°, I = 61; 27.97°, I = 84; 28.15°, I = 95; 30.94°, I = 100; 32.06°, I = 69; 42.84°, I = 36; 48.88°, I = 26; 49.52°, I = 85; 57.81°, I = 26

Cell and atoms:
Cell lengths 6.4967, 7.7732, 10.9189 Å; angles 90.00, 90.00, 90.00 degrees
Space group Imma (No. 74)
One atom of each set of equivalent atoms:
Rb 0.0000 0.2500 0.1053 (multiplicity 4)
Pd 0.0000 0.0000 0.5000 (multiplicity 4)
Pd 0.2500 0.2500 0.7500 (multiplicity 4)
F 0.0000 0.2500 0.4069 (multiplicity 4)
F 0.2400 0.0686 0.8803 (multiplicity 16)

=====

Record 2
Calculated powder diffraction line list
Compound: RuWSe2Br
Radiation: Cu Kα
Structure: a crystal structure in Alexandria, relaxed with GGA-PBE

Peak list (10 most intense, 2θ from 15° to 90°, sorted by position)
18.19°, I = 53; 24.82°, I = 82; 25.84°, I = 39; 30.95°, I = 32; 33.85°, I = 63; 36.87°, I = 100; 44.95°, I = 34; 50.91°, I = 79; 53.13°, I = 35; 64.50°, I = 38

Cell and atoms:
Cell lengths 4.8761, 4.8761, 5.2964 Å; angles 90.00, 90.00, 90.00 degrees
Space group P4/mmm (No. 123)
One atom of each set of equivalent atoms:
Ru 0.0000 0.0000 0.0000 (multiplicity 1)
W 0.5000 0.5000 0.5000 (multiplicity 1)
Se 0.0000 0.5000 0.5000 (multiplicity 2)
Br 0.5000 0.5000 0.0000 (multiplicity 1)

=====

Record 3
Calculated powder diffraction line list
Compound: NaPmTm2
Radiation: Cu Kα
Structure: a crystal structure in Alexandria, relaxed with GGA-PBE

Peak list (10 most intense, 2θ from 15° to 90°, sorted by position)
17.12°, I = 9; 30.43°, I = 100; 34.63°, I = 16; 35.60°, I = 34; 36.21°, I = 14; 50.51°, I = 22; 51.24°, I = 12; 59.47°, I = 11; 60.77°, I = 28; 63.32°, I = 11

Cell and atoms:
Cell lengths 3.5661, 3.5661, 10.3614 Å; angles 90.00, 90.00, 90.00 degrees
Space group P4/mmm (No. 123)
One atom of each set of equivalent atoms:
Na 0.0000 0.0000 0.0000 (multiplicity 1)
Pm 0.0000 0.0000 0.5000 (multiplicity 1)
Tm 0.5000 0.5000 0.2687 (multiplicity 2)

=====

Record 4
Calculated powder diffraction line list
Compound: SmDy4Th5
Radiation: Cu Kα
Structure: a crystal structure in Alexandria, relaxed with GGA-PBE

Peak list (10 most intense, 2θ from 15° to 90°, sorted by position)
26.57°, I = 43; 29.77°, I = 65; 31.48°, I = 100; 32.01°, I = 59; 32.29°, I = 77; 33.30°, I = 63; 33.49°, I = 68; 34.26°, I = 43; 51.73°, I = 37; 61.83°, I = 33

Cell and atoms:
Cell lengths 22.3637, 3.5339, 8.3987 Å; angles 90.00, 92.29, 90.00 degrees
Space group C2/m (No. 12)
One atom of each set of equivalent atoms:
Sm 0.0000 0.0000 0.0000 (multiplicity 2)
Dy 0.0923 0.5000 0.7427 (multiplicity 4)
Dy 0.1789 0.0000 0.0118 (multiplicity 4)
Th 0.0000 0.0000 0.5000 (multiplicity 2)
Th 0.1146 0.5000 0.3287 (multiplicity 4)
Th 0.2357 0.5000 0.6627 (multiplicity 4)

=====

Record 5
Calculated powder diffraction line list
Compound: Ac3Y2In3
Radiation: Cu Kα
Structure: a crystal structure in Alexandria, relaxed with GGA-PBE

Peak list (10 most intense, 2θ from 15° to 90°, sorted by position)
24.40°, I = 7; 30.37°, I = 20; 31.06°, I = 100; 43.95°, I = 14; 45.10°, I = 7; 54.41°, I = 14; 55.19°, I = 16; 55.34°, I = 7; 55.73°, I = 8; 64.80°, I = 9

Cell and atoms:
Cell lengths 4.0206, 5.7695, 23.5461 Å; angles 90.00, 90.00, 90.00 degrees
Space group Immm (No. 71)
One atom of each set of equivalent atoms:
Ac 0.0000 0.0000 0.0000 (multiplicity 2)
Ac 0.0000 0.5000 0.1234 (multiplicity 4)
Y 0.0000 0.0000 0.2351 (multiplicity 4)
In 0.0000 0.0000 0.5000 (multiplicity 2)
In 0.0000 0.5000 0.3710 (multiplicity 4)

=====

Record 6
Calculated powder diffraction line list
Compound: LiLaPbS3
Radiation: Cu Kα
Structure: a crystal structure in Alexandria, relaxed with GGA-PBE

Peak list (10 most intense, 2θ from 15° to 90°, sorted by position)
20.54°, I = 48; 21.66°, I = 48; 24.50°, I = 51; 24.59°, I = 90; 30.60°, I = 100; 31.03°, I = 51; 31.28°, I = 67; 38.96°, I = 51; 41.67°, I = 44; 45.50°, I = 25

Cell and atoms:
Cell lengths 8.6891, 3.9867, 8.7496 Å; angles 90.00, 98.77, 90.00 degrees
Space group P2_1/m (No. 11)
One atom of each set of equivalent atoms:
Li 0.0948 0.2500 0.0880 (multiplicity 2)
La 0.1607 0.2500 0.7151 (multiplicity 2)
Pb 0.3491 0.7500 0.3270 (multiplicity 2)
S 0.0994 0.2500 0.3684 (multiplicity 2)
S 0.1859 0.7500 0.9681 (multiplicity 2)
S 0.3920 0.7500 0.6505 (multiplicity 2)

=====

Q: Number 6 is which compound?
A: LiLaPbS3